[1]
Simulated powder X-ray diffraction pattern of K2CuBiSe4 for Cu Kα X-rays, from a crystal structure in Alexandria, relaxed with GGA-PBE.

Structural model:
Cell lengths 8.2275, 8.2275, 6.8109 Å; angles 90.00, 90.00, 90.00 degrees
Space group I-42m (No. 121)
Inequivalent atoms, fractional coordinates:
K1 0.0000 0.5000 0.0000 x4
Cu1 0.0000 0.0000 0.0000 x2
Bi1 0.0000 0.0000 0.5000 x2
Se1 0.1688 0.1688 0.2264 x8

The 8 most intense peaks (10 to 90 degrees two-theta), sorted by position:
two_theta	d (Å)	Rel. int.
15.23	5.818	90
16.90	5.246	25
27.55	3.237	100
30.74	2.909	48
34.18	2.623	98
43.79	2.067	45
47.48	1.915	24
51.94	1.761	27

***

[2]
Simulated powder X-ray diffraction pattern of La12Cu5Bi for Cu Kα X-rays, from a crystal structure in Alexandria, relaxed with GGA-PBE.

Structural model:
Cell lengths 9.4385, 10.0934, 11.3336 Å; angles 90.00, 90.00, 90.00 degrees
Space group Immm (No. 71)
Inequivalent atoms, fractional coordinates:
La1 0.0000 0.1888 0.2157 x8
La2 0.1971 0.5000 0.1814 x8
La3 0.2099 0.3146 0.5000 x8
Cu1 0.0000 0.0000 0.0000 x2
Cu2 0.0000 0.3643 0.0000 x4
Cu3 0.0000 0.5000 0.3850 x4
Bi1 0.0000 0.0000 0.5000 x2

The 8 most intense peaks (10 to 90 degrees two-theta), sorted by position:
two_theta	d (Å)	Rel. int.
27.66	3.225	24
29.74	3.004	25
30.35	2.945	100
31.60	2.831	80
32.37	2.766	63
34.51	2.599	29
48.42	1.880	22
58.37	1.581	28

***

[3]
Simulated powder X-ray diffraction pattern of Sr2LaCu2Bi2O8 for Cu Kα X-rays, from a crystal structure in Alexandria, relaxed with GGA-PBE.

Structural model:
Cell lengths 5.6114, 30.8608, 5.4048 Å; angles 90.00, 90.00, 90.00 degrees
Space group Cccm (No. 66)
Inequivalent atoms, fractional coordinates:
Sr1 0.2432 0.1360 0.0000 x8
La1 0.2500 0.2500 0.0000 x4
Cu1 0.2504 0.1952 0.5000 x8
Bi1 0.2291 0.4533 0.5000 x8
O1 0.0000 0.1981 0.2500 x8
O2 0.0000 0.3036 0.2500 x8
O3 0.1547 0.4497 0.0000 x8
O4 0.2190 0.1141 0.5000 x8

The 8 most intense peaks (10 to 90 degrees two-theta), sorted by position:
two_theta	d (Å)	Rel. int.
24.45	3.641	40
27.08	3.293	50
30.64	2.918	100
31.90	2.806	42
33.15	2.702	42
34.88	2.572	27
46.67	1.946	39
55.87	1.646	27

***

[4]
Simulated powder X-ray diffraction pattern of La2CuBiS5 for Cu Kα X-rays, from a crystal structure in Alexandria, relaxed with GGA-PBE.

Structural model:
Cell lengths 12.1223, 3.9992, 17.0740 Å; angles 90.00, 90.00, 90.00 degrees
Space group Pnma (No. 62)
Inequivalent atoms, fractional coordinates:
La1 0.0384 0.2500 0.1733 x4
La2 0.1257 0.7500 0.5972 x4
Cu1 0.0871 0.7500 0.9969 x4
Bi1 0.1988 0.7500 0.3629 x4
S1 0.0115 0.2500 0.7018 x4
S2 0.0844 0.2500 0.9235 x4
S3 0.1043 0.2500 0.4690 x4
S4 0.1923 0.7500 0.1083 x4
S5 0.2410 0.7500 0.7635 x4

The 8 most intense peaks (10 to 90 degrees two-theta), sorted by position:
two_theta	d (Å)	Rel. int.
22.61	3.932	61
24.37	3.652	60
27.09	3.292	74
28.25	3.159	98
31.53	2.838	100
37.68	2.387	62
43.03	2.102	58
45.01	2.014	83